[1]
Starting from a DFT-relaxed cell (PBE, the Materials Project), the XRD peak list of Sc2CoNi was computed for Cu Kα X-rays.

Structure:
a = 6.2695 Å, b = 6.2695 Å, c = 6.2695 Å
α = 90.00°, β = 90.00°, γ = 90.00°
Space group Fm-3m (No. 225)
Symmetry-distinct sites (fractional):
Sc  0.2500  0.2500  0.2500 [8 per cell]
Co  0.0000  0.0000  0.0000 [4 per cell]
Ni  0.0000  0.0000  0.5000 [4 per cell]

Main lines, in order of rising 2θ (15 to 90 degrees two-theta):
hkl	2theta	d [Å]	intensity
2 0 0	28.5	3.135	4
2 2 0	40.7	2.217	100
2 2 2	50.4	1.810	1
4 0 0	58.9	1.567	15
4 2 0	66.7	1.402	1
4 2 2	74.1	1.280	29
4 4 0	88.1	1.108	9

[2]
Starting from a DFT-relaxed cell (PBE, the Materials Project), the XRD peak list of ScCoNiSn was computed for Cu Kα X-rays.

Structure:
a = 6.2435 Å, b = 6.2435 Å, c = 6.2435 Å
α = 90.00°, β = 90.00°, γ = 90.00°
Space group F-43m (No. 216)
Symmetry-distinct sites (fractional):
Sc  0.0000  0.0000  0.0000 [4 per cell]
Co  0.2500  0.2500  0.2500 [4 per cell]
Ni  0.2500  0.2500  0.7500 [4 per cell]
Sn  0.0000  0.0000  0.5000 [4 per cell]

Main lines, in order of rising 2θ (15 to 90 degrees two-theta):
hkl	2theta	d [Å]	intensity
1 1 1	24.7	3.605	16
2 0 0	28.6	3.122	2
2 2 0	40.9	2.207	100
3 1 1	48.3	1.882	9
4 0 0	59.2	1.561	16
3 3 1	65.1	1.432	4
4 2 0	67.0	1.396	1
4 2 2	74.4	1.274	32
5 1 1	79.8	1.202	3
4 4 0	88.6	1.104	11

[3]
Starting from a DFT-relaxed cell (PBE, the Materials Project), the XRD peak list of CoNiSe2 was computed for Cu Kα X-rays.

Structure:
a = 3.6547 Å, b = 3.6547 Å, c = 5.1716 Å
α = 90.00°, β = 90.00°, γ = 120.00°
Space group P-3m1 (No. 164)
Symmetry-distinct sites (fractional):
Co  0.0000  0.0000  0.0000 [1 per cell]
Ni  0.0000  0.0000  0.5000 [1 per cell]
Se  0.3333  0.6667  0.7633 [2 per cell]

Main lines, in order of rising 2θ (15 to 90 degrees two-theta):
hkl	2theta	d [Å]	intensity
1 0 0	28.2	3.165	10
0 1 1	33.2	2.700	100
1 0 2	45.3	2.002	93
1 1 0	49.9	1.827	66
0 1 3	61.2	1.514	32
1 1 2	62.2	1.492	1
0 2 2	69.7	1.350	24
0 0 4	73.2	1.293	6
0 1 4	80.2	1.197	2
2 0 3	82.8	1.166	21

[4]
Starting from a DFT-relaxed cell (PBE, the Materials Project), the XRD peak list of CoNiSe4 was computed for Cu Kα X-rays.

Structure:
a = 5.8982 Å, b = 5.8824 Å, c = 5.8747 Å
α = 90.00°, β = 90.69°, γ = 90.00°
Space group P2_1/c (No. 14)
Symmetry-distinct sites (fractional):
Co  0.0000  0.0000  0.0000 [2 per cell]
Ni  0.5000  0.0000  0.5000 [2 per cell]
Se  0.1185  0.1274  0.6282 [4 per cell]
Se  0.3717  0.6199  0.6197 [4 per cell]

Main lines, in order of rising 2θ (15 to 90 degrees two-theta):
hkl	2theta	d [Å]	intensity
2 0 0	30.3	2.945	34
2 1 0	34.0	2.638	100
0 2 1	34.1	2.630	70
1 0 2	34.3	2.617	39
2 1 -1	37.3	2.412	63
1 2 -1	37.4	2.407	24
1 2 1	37.5	2.396	53
1 1 2	37.6	2.391	24
1 1 -3	51.4	1.777	52
3 1 1	51.6	1.772	47

[5]
Starting from a DFT-relaxed cell (PBE, the Materials Project), the XRD peak list of CoNi2Se4 was computed for Cu Kα X-rays.

Structure:
a = 11.9908 Å, b = 3.6315 Å, c = 6.1646 Å
α = 90.00°, β = 120.10°, γ = 90.00°
Space group Cm (No. 8)
Symmetry-distinct sites (fractional):
Co  0.0000  0.0000  0.0000 [2 per cell]
Ni  0.2381  0.5000  0.7239 [2 per cell]
Ni  0.4804  0.0000  0.4437 [2 per cell]
Se  0.1043  0.0000  0.7477 [2 per cell]
Se  0.1179  0.5000  0.2574 [2 per cell]
Se  0.3634  0.5000  0.1752 [2 per cell]
Se  0.3765  0.0000  0.7021 [2 per cell]

Main lines, in order of rising 2θ (15 to 90 degrees two-theta):
hkl	2theta	d [Å]	intensity
1 1 1	33.3	2.688	100
0 0 2	33.6	2.669	72
4 0 -2	34.1	2.633	53
3 1 1	45.3	2.004	59
5 1 -1	45.6	1.989	43
6 0 -2	46.1	1.970	26
0 2 0	50.2	1.816	39
3 1 -3	51.1	1.788	71
7 1 -1	61.5	1.509	19
4 2 -2	62.1	1.495	18

[6]
Starting from a DFT-relaxed cell (PBE, the Materials Project), the XRD peak list of CoNi2Se4 was computed for Cu Kα X-rays.

Structure:
a = 11.8323 Å, b = 3.6348 Å, c = 6.1650 Å
α = 90.00°, β = 119.11°, γ = 90.00°
Space group C2/m (No. 12)
Symmetry-distinct sites (fractional):
Co  0.0000  0.0000  0.0000 [2 per cell]
Ni  0.2359  0.5000  0.7104 [4 per cell]
Se  0.1142  0.0000  0.4511 [4 per cell]
Se  0.1327  0.5000  0.9794 [4 per cell]

Main lines, in order of rising 2θ (15 to 90 degrees two-theta):
hkl	2theta	d [Å]	intensity
1 1 1	33.2	2.702	100
0 0 2	33.3	2.693	25
3 1 -1	33.8	2.654	33
4 0 -2	34.5	2.601	54
2 0 2	44.9	2.019	17
3 1 1	45.0	2.013	43
5 1 -1	46.0	1.974	50
0 2 0	50.2	1.817	36
3 1 -3	51.1	1.788	63
4 2 -2	62.3	1.490	19

[7]
Starting from a DFT-relaxed cell (PBE, the Materials Project), the XRD peak list of TlCoNiSe2 was computed for Cu Kα X-rays.

Structure:
a = 3.8187 Å, b = 3.8187 Å, c = 14.2486 Å
α = 90.00°, β = 90.00°, γ = 90.00°
Space group I-4m2 (No. 119)
Symmetry-distinct sites (fractional):
Tl  0.0000  0.0000  0.0000 [2 per cell]
Co  0.0000  0.5000  0.7500 [2 per cell]
Ni  0.0000  0.5000  0.2500 [2 per cell]
Se  0.0000  0.0000  0.3502 [4 per cell]

Main lines, in order of rising 2θ (15 to 90 degrees two-theta):
hkl	2theta	d [Å]	intensity
1 0 1	24.1	3.689	15
0 0 4	25.0	3.562	12
1 0 3	30.0	2.976	100
1 1 0	33.2	2.700	17
1 1 2	35.6	2.525	40
1 0 5	39.5	2.284	16
2 0 0	47.6	1.909	27
1 1 6	51.2	1.783	44
2 1 3	57.3	1.607	32
2 0 8	72.6	1.302	9

[8]
Starting from a DFT-relaxed cell (PBE, the Materials Project), the XRD peak list of SmCo2Ni3 was computed for Cu Kα X-rays.

Structure:
a = 4.9079 Å, b = 4.9079 Å, c = 3.9663 Å
α = 90.00°, β = 90.00°, γ = 120.00°
Space group P6/mmm (No. 191)
Symmetry-distinct sites (fractional):
Sm  0.0000  0.0000  0.0000 [1 per cell]
Co  0.3333  0.6667  0.0000 [2 per cell]
Ni  0.0000  0.5000  0.5000 [3 per cell]

Main lines, in order of rising 2θ (15 to 90 degrees two-theta):
hkl	2theta	d [Å]	intensity
1 0 1	30.8	2.900	52
1 1 0	36.6	2.454	31
2 0 0	42.5	2.125	37
1 1 1	43.4	2.087	100
0 0 2	45.8	1.983	27
1 1 2	60.0	1.542	14
2 1 1	62.4	1.489	14
2 0 2	64.2	1.450	21
3 0 1	70.6	1.334	22
2 2 0	77.9	1.227	16